This entry pairs a crystal structure of NaErCl4 with its theoretical powder XRD pattern. Radiation: CuKα. Structure: a DFT-relaxed cell (GGA-PBE, the Materials Project).
Intensities are scaled so that the largest is 1000.

Principal peaks in the range 2θ from 10° to 80°, in order of rising 2θ:
two_theta  Rel. int.
11.45  453
13.76  1000
17.38  856
17.93  684
21.83  731
22.62  622
29.12  472
30.31  830
37.59  555
46.48  497

Structural model:
abc: 6.4451 7.7261 6.8035
angles: 90.00 92.74 90.00
Space group P2/c (No. 13)
Symmetry-distinct sites (fractional):
Na1 0.0000 0.1466 0.2500 x2
Er1 0.5000 0.3447 0.7500 x2
Cl1 0.2474 0.1254 0.5953 x4
Cl2 0.2784 0.3965 0.0643 x4